The following is a calculated X-ray powder pattern of Mg3Cd3Cu. It was derived from a crystal structure in Alexandria, relaxed with GGA-PBE, using λ = 1.5418 Å (Cu Kα).

Structural model:
Lattice parameters (Å, degrees): 5.999 5.999 8.431 90.00 90.00 101.38
Atoms (fractional coordinates):
Mg 0.000 0.000 0.225
Mg 0.000 0.000 0.775
Mg 0.000 0.500 0.227
Mg 0.000 0.500 0.773
Mg 0.500 0.000 0.227
Mg 0.500 0.000 0.773
Cd 0.219 0.781 0.500
Cd 0.300 0.300 0.500
Cd 0.309 0.309 0.000
Cd 0.691 0.691 0.000
Cd 0.700 0.700 0.500
Cd 0.781 0.219 0.500
Cu 0.221 0.779 0.000
Cu 0.779 0.221 0.000

Main lines, in order of rising 2θ (2θ = 15–90°):
- 2θ 21.1, rel. 69.6
- 2θ 30.4, rel. 35.9
- 2θ 36.8, rel. 19.1
- 2θ 37.3, rel. 100.0
- 2θ 38.0, rel. 21.5
- 2θ 38.8, rel. 24.2
- 2θ 42.8, rel. 16.0
- 2θ 42.9, rel. 21.3
- 2θ 44.6, rel. 14.0
- 2θ 53.5, rel. 15.3
- 2θ 59.2, rel. 12.5
- 2θ 66.2, rel. 14.0

=====

The following is a calculated X-ray powder pattern of Mg6Cd12Cu. It was derived from a crystal structure in Alexandria, relaxed with GGA-PBE, using λ = 1.5418 Å (Cu Kα).

Structural model:
Lattice parameters (Å, degrees): 7.448 7.448 7.448 92.65 92.65 92.65
Atoms (fractional coordinates):
Mg 0.230 0.759 0.385
Mg 0.241 0.615 0.770
Mg 0.385 0.230 0.759
Mg 0.615 0.770 0.241
Mg 0.759 0.385 0.230
Mg 0.770 0.241 0.615
Cd 0.030 0.301 0.945
Cd 0.055 0.970 0.699
Cd 0.132 0.361 0.456
Cd 0.301 0.945 0.030
Cd 0.361 0.456 0.132
Cd 0.456 0.132 0.361
Cd 0.544 0.868 0.639
Cd 0.639 0.544 0.868
Cd 0.699 0.055 0.970
Cd 0.868 0.639 0.544
Cd 0.945 0.030 0.301
Cd 0.970 0.699 0.055
Cu 0.500 0.500 0.500

Main lines, in order of rising 2θ (2θ = 15–90°):
- 2θ 23.9, rel. 29.3
- 2θ 26.3, rel. 74.3
- 2θ 28.7, rel. 38.0
- 2θ 35.4, rel. 100.0
- 2θ 36.3, rel. 88.1
- 2θ 37.7, rel. 95.3
- 2θ 37.8, rel. 77.2
- 2θ 38.9, rel. 72.1
- 2θ 40.1, rel. 24.3
- 2θ 55.3, rel. 21.3
- 2θ 66.6, rel. 38.8
- 2θ 79.4, rel. 25.9

=====

The following is a calculated X-ray powder pattern of Mg3Cd4Cu. It was derived from a crystal structure in Alexandria, relaxed with GGA-PBE, using λ = 1.5418 Å (Cu Kα).

Structural model:
Lattice parameters (Å, degrees): 3.197 4.507 11.944 99.48 97.58 90.11
Atoms (fractional coordinates):
Mg 0.000 0.000 0.000
Mg 0.354 0.855 0.707
Mg 0.646 0.145 0.293
Cd 0.090 0.591 0.185
Cd 0.220 0.717 0.437
Cd 0.780 0.283 0.563
Cd 0.910 0.409 0.815
Cu 0.500 0.500 0.000

Main lines, in order of rising 2θ (2θ = 15–90°):
- 2θ 20.0, rel. 71.4
- 2θ 20.2, rel. 67.5
- 2θ 33.0, rel. 44.8
- 2θ 33.8, rel. 41.0
- 2θ 34.4, rel. 100.0
- 2θ 35.4, rel. 29.1
- 2θ 39.0, rel. 85.0
- 2θ 39.7, rel. 31.3
- 2θ 40.0, rel. 69.3
- 2θ 40.5, rel. 30.4
- 2θ 41.4, rel. 44.0
- 2θ 57.7, rel. 35.0

=====

The following is a calculated X-ray powder pattern of Mg8CdCu4. It was derived from a crystal structure in Alexandria, relaxed with GGA-PBE, using λ = 1.5418 Å (Cu Kα).

Structural model:
Lattice parameters (Å, degrees): 7.206 7.206 7.206 97.78 97.78 136.83
Atoms (fractional coordinates):
Mg 0.000 0.215 0.215
Mg 0.000 0.785 0.785
Mg 0.164 0.500 0.664
Mg 0.215 0.000 0.215
Mg 0.500 0.164 0.664
Mg 0.500 0.836 0.336
Mg 0.785 0.000 0.785
Mg 0.836 0.500 0.336
Cd 0.500 0.500 0.000
Cu 0.000 0.000 0.500
Cu 0.000 0.500 0.000
Cu 0.500 0.000 0.000
Cu 0.500 0.500 0.500

Main lines, in order of rising 2θ (2θ = 15–90°):
- 2θ 18.7, rel. 30.0
- 2θ 26.6, rel. 48.2
- 2θ 26.9, rel. 29.5
- 2θ 33.0, rel. 34.4
- 2θ 38.0, rel. 74.0
- 2θ 38.2, rel. 56.8
- 2θ 38.9, rel. 100.0
- 2θ 42.7, rel. 22.3
- 2θ 43.5, rel. 36.6
- 2θ 55.5, rel. 39.1
- 2θ 69.2, rel. 26.0
- 2θ 81.8, rel. 21.0

=====

The following is a calculated X-ray powder pattern of MgCd2Cu. It was derived from a crystal structure in Alexandria, relaxed with GGA-PBE, using λ = 1.5418 Å (Cu Kα).

Structural model:
Lattice parameters (Å, degrees): 4.616 4.616 8.383 90.00 90.00 120.00
Atoms (fractional coordinates):
Mg 0.000 0.000 0.250
Mg 0.000 0.000 0.750
Cd 0.333 0.667 0.076
Cd 0.333 0.667 0.424
Cd 0.667 0.333 0.576
Cd 0.667 0.333 0.924
Cu 0.333 0.667 0.750
Cu 0.667 0.333 0.250

Main lines, in order of rising 2θ (2θ = 15–90°):
- 2θ 22.2, rel. 51.1
- 2θ 24.7, rel. 5.3
- 2θ 30.9, rel. 9.5
- 2θ 39.0, rel. 81.5
- 2θ 39.3, rel. 100.0
- 2θ 45.4, rel. 7.6
- 2θ 56.6, rel. 32.8
- 2θ 61.4, rel. 5.9
- 2θ 70.7, rel. 13.0
- 2θ 70.9, rel. 32.3
- 2θ 80.3, rel. 17.2
- 2θ 83.8, rel. 8.1

=====

The following is a calculated X-ray powder pattern of MgCd2Cu2Pd5. It was derived from a crystal structure in Alexandria, relaxed with GGA-PBE, using λ = 1.5418 Å (Cu Kα).

Structural model:
Lattice parameters (Å, degrees): 9.159 9.159 3.935 90.00 90.00 90.00
Atoms (fractional coordinates):
Mg 0.000 0.000 0.000
Mg 0.500 0.500 0.000
Cd 0.171 0.329 0.000
Cd 0.329 0.829 0.000
Cd 0.671 0.171 0.000
Cd 0.829 0.671 0.000
Cu 0.124 0.624 0.000
Cu 0.376 0.124 0.000
Cu 0.624 0.876 0.000
Cu 0.876 0.376 0.000
Pd 0.000 0.500 0.500
Pd 0.080 0.802 0.500
Pd 0.198 0.080 0.500
Pd 0.302 0.580 0.500
Pd 0.420 0.302 0.500
Pd 0.500 0.000 0.500
Pd 0.580 0.698 0.500
Pd 0.698 0.420 0.500
Pd 0.802 0.920 0.500
Pd 0.920 0.198 0.500

Main lines, in order of rising 2θ (2θ = 15–90°):
- 2θ 31.5, rel. 26.5
- 2θ 38.6, rel. 100.0
- 2θ 40.6, rel. 44.9
- 2θ 41.8, rel. 15.0
- 2θ 42.4, rel. 43.1
- 2θ 44.2, rel. 12.8
- 2θ 45.9, rel. 10.9
- 2θ 46.1, rel. 30.1
- 2θ 63.1, rel. 23.5
- 2θ 69.1, rel. 14.2
- 2θ 73.0, rel. 11.1
- 2θ 80.4, rel. 13.0

=====

The following is a calculated X-ray powder pattern of Mg3Cd3CuRh2. It was derived from a crystal structure in Alexandria, relaxed with GGA-PBE, using λ = 1.5418 Å (Cu Kα).

Structural model:
Lattice parameters (Å, degrees): 7.762 7.762 3.079 90.00 90.00 120.00
Atoms (fractional coordinates):
Mg 0.000 0.608 0.000
Mg 0.392 0.392 0.000
Mg 0.608 0.000 0.000
Cd 0.000 0.285 0.500
Cd 0.285 0.000 0.500
Cd 0.715 0.715 0.500
Cu 0.000 0.000 0.000
Rh 0.333 0.667 0.500
Rh 0.667 0.333 0.500

Main lines, in order of rising 2θ (2θ = 15–90°):
- 2θ 22.9, rel. 70.8
- 2θ 29.0, rel. 40.2
- 2θ 35.3, rel. 37.9
- 2θ 37.3, rel. 80.0
- 2θ 39.7, rel. 56.9
- 2θ 40.2, rel. 100.0
- 2θ 46.3, rel. 53.1
- 2θ 50.4, rel. 36.5
- 2θ 60.1, rel. 14.1
- 2θ 68.0, rel. 37.3
- 2θ 74.8, rel. 35.3
- 2θ 86.6, rel. 21.2

=====

The following is a calculated X-ray powder pattern of SrMg6CdCu. It was derived from a crystal structure in Alexandria, relaxed with GGA-PBE, using λ = 1.5418 Å (Cu Kα).

Structural model:
Lattice parameters (Å, degrees): 8.864 8.864 7.409 114.69 114.69 68.33
Atoms (fractional coordinates):
Sr 0.050 0.050 0.300
Sr 0.950 0.950 0.700
Mg 0.128 0.616 0.914
Mg 0.129 0.615 0.330
Mg 0.248 0.248 0.997
Mg 0.319 0.319 0.570
Mg 0.384 0.872 0.086
Mg 0.385 0.871 0.670
Mg 0.615 0.129 0.330
Mg 0.616 0.128 0.914
Mg 0.681 0.681 0.430
Mg 0.752 0.752 0.003
Mg 0.871 0.385 0.670
Mg 0.872 0.384 0.086
Cd 0.500 0.500 0.000
Cd 0.500 0.500 0.500
Cu 0.000 0.500 0.500
Cu 0.500 0.000 0.500

Main lines, in order of rising 2θ (2θ = 15–90°):
- 2θ 22.7, rel. 98.1
- 2θ 26.6, rel. 100.0
- 2θ 27.9, rel. 28.2
- 2θ 30.3, rel. 62.4
- 2θ 32.0, rel. 20.8
- 2θ 33.4, rel. 53.8
- 2θ 33.5, rel. 29.2
- 2θ 36.1, rel. 55.7
- 2θ 37.1, rel. 49.6
- 2θ 41.7, rel. 40.5
- 2θ 42.4, rel. 32.5
- 2θ 52.7, rel. 28.3

=====

The following is a calculated X-ray powder pattern of MnCdCu4Sn2Se8. It was derived from a crystal structure in Alexandria, relaxed with GGA-PBE, using λ = 1.5418 Å (Cu Kα).

Structural model:
Lattice parameters (Å, degrees): 7.114 7.114 11.712 114.31 114.31 48.64
Atoms (fractional coordinates):
Mn 0.000 0.000 0.000
Cd 0.999 0.001 0.500
Cu 0.249 0.247 0.371
Cu 0.251 0.253 0.879
Cu 0.747 0.749 0.121
Cu 0.753 0.751 0.629
Sn 0.499 0.500 0.753
Sn 0.500 0.501 0.247
Se 0.108 0.621 0.813
Se 0.113 0.605 0.300
Se 0.379 0.892 0.187
Se 0.395 0.887 0.700
Se 0.599 0.116 0.557
Se 0.624 0.107 0.054
Se 0.884 0.401 0.443
Se 0.893 0.376 0.946

Main lines, in order of rising 2θ (2θ = 15–90°):
- 2θ 26.5, rel. 100.0
- 2θ 34.3, rel. 3.4
- 2θ 43.7, rel. 25.6
- 2θ 44.0, rel. 47.4
- 2θ 51.8, rel. 30.2
- 2θ 52.3, rel. 13.2
- 2θ 63.5, rel. 8.0
- 2θ 70.1, rel. 5.9
- 2θ 70.5, rel. 10.5
- 2θ 80.5, rel. 15.4
- 2θ 81.1, rel. 6.4
- 2θ 86.3, rel. 6.8

=====

The following is a calculated X-ray powder pattern of Na17Cd11Cu. It was derived from a crystal structure in Alexandria, relaxed with GGA-PBE, using λ = 1.5418 Å (Cu Kα).

Structural model:
Lattice parameters (Å, degrees): 10.135 10.135 10.079 109.24 109.24 110.11
Atoms (fractional coordinates):
Na 0.000 0.000 0.000
Na 0.015 0.606 0.414
Na 0.043 0.735 0.132
Na 0.323 0.323 0.076
Na 0.327 0.920 0.042
Na 0.329 0.642 0.319
Na 0.330 0.330 0.730
Na 0.331 0.675 0.730
Na 0.606 0.015 0.414
Na 0.638 0.917 0.729
Na 0.642 0.329 0.319
Na 0.675 0.331 0.730
Na 0.735 0.043 0.132
Na 0.735 0.735 0.449
Na 0.917 0.638 0.729
Na 0.920 0.327 0.042
Na 0.980 0.980 0.380
Cd 0.144 0.966 0.729
Cd 0.149 0.329 0.365
Cd 0.153 0.513 0.914
Cd 0.327 0.966 0.542
Cd 0.329 0.149 0.365
Cd 0.513 0.153 0.914
Cd 0.513 0.692 0.082
Cd 0.524 0.524 0.577
Cd 0.692 0.513 0.082
Cd 0.966 0.144 0.729
Cd 0.966 0.327 0.542
Cu 0.670 0.670 0.904

Main lines, in order of rising 2θ (2θ = 15–90°):
- 2θ 18.6, rel. 80.6
- 2θ 18.7, rel. 100.0
- 2θ 21.6, rel. 19.3
- 2θ 32.4, rel. 54.9
- 2θ 32.5, rel. 53.5
- 2θ 32.7, rel. 44.5
- 2θ 35.9, rel. 28.3
- 2θ 36.0, rel. 52.1
- 2θ 36.2, rel. 75.0
- 2θ 39.3, rel. 24.4
- 2θ 39.4, rel. 25.4
- 2θ 58.0, rel. 17.7

=====

The following is a calculated X-ray powder pattern of NaCd9Cu2. It was derived from a crystal structure in Alexandria, relaxed with GGA-PBE, using λ = 1.5418 Å (Cu Kα).

Structural model:
Lattice parameters (Å, degrees): 9.158 9.158 9.158 99.82 99.82 131.21
Atoms (fractional coordinates):
Na 0.375 0.625 0.750
Na 0.625 0.375 0.250
Cd 0.125 0.875 0.250
Cd 0.131 0.562 0.328
Cd 0.131 0.803 0.569
Cd 0.197 0.266 0.328
Cd 0.197 0.869 0.931
Cd 0.266 0.197 0.828
Cd 0.266 0.438 0.069
Cd 0.438 0.266 0.569
Cd 0.438 0.869 0.172
Cd 0.562 0.131 0.828
Cd 0.562 0.734 0.431
Cd 0.734 0.562 0.931
Cd 0.734 0.803 0.172
Cd 0.803 0.131 0.069
Cd 0.803 0.734 0.672
Cd 0.869 0.197 0.431
Cd 0.869 0.438 0.672
Cd 0.875 0.125 0.750
Cu 0.000 0.000 0.000
Cu 0.000 0.000 0.500
Cu 0.000 0.500 0.000
Cu 0.500 0.000 0.500

Main lines, in order of rising 2θ (2θ = 15–90°):
- 2θ 15.0, rel. 23.5
- 2θ 20.5, rel. 13.7
- 2θ 33.7, rel. 55.3
- 2θ 34.0, rel. 40.8
- 2θ 36.4, rel. 17.4
- 2θ 38.7, rel. 16.2
- 2θ 39.6, rel. 30.2
- 2θ 40.0, rel. 100.0
- 2θ 41.8, rel. 24.7
- 2θ 60.7, rel. 16.8
- 2θ 64.9, rel. 14.4
- 2θ 67.8, rel. 13.7

=====

The following is a calculated X-ray powder pattern of Na12Cd6Cu. It was derived from a crystal structure in Alexandria, relaxed with GGA-PBE, using λ = 1.5418 Å (Cu Kα).

Structural model:
Lattice parameters (Å, degrees): 8.117 8.117 8.117 86.72 86.72 86.72
Atoms (fractional coordinates):
Na 0.027 0.308 0.929
Na 0.071 0.973 0.692
Na 0.127 0.352 0.470
Na 0.308 0.929 0.027
Na 0.352 0.470 0.127
Na 0.470 0.127 0.352
Na 0.530 0.873 0.648
Na 0.648 0.530 0.873
Na 0.692 0.071 0.973
Na 0.873 0.648 0.530
Na 0.929 0.027 0.308
Na 0.973 0.692 0.071
Cd 0.251 0.603 0.748
Cd 0.252 0.749 0.397
Cd 0.397 0.252 0.749
Cd 0.603 0.748 0.251
Cd 0.748 0.251 0.603
Cd 0.749 0.397 0.252
Cu 0.500 0.500 0.500

Main lines, in order of rising 2θ (2θ = 15–90°):
- 2θ 15.1, rel. 64.6
- 2θ 17.9, rel. 52.5
- 2θ 22.0, rel. 25.9
- 2θ 24.1, rel. 32.7
- 2θ 31.5, rel. 28.5
- 2θ 33.2, rel. 24.2
- 2θ 34.0, rel. 100.0
- 2θ 34.5, rel. 64.2
- 2θ 35.5, rel. 24.2
- 2θ 35.7, rel. 57.7
- 2θ 42.9, rel. 20.3
- 2θ 46.9, rel. 26.8